Pu2PaMnO8: theoretical XRD peak list (λ = 1.5418 Å (Cu Kα)), based on a DFT-relaxed cell (PBE+U, Alexandria).

Atomic structure:
Lattice parameters (Å, degrees): 5.071 5.071 6.895 90.00 90.00 90.30
Sites, in units of the cell vectors:
Pu: 0.000 0.000 0.244
Pu: 0.000 0.000 0.756
Pa: 0.500 0.500 0.500
Mn: 0.500 0.500 0.000
O: 0.187 0.813 0.000
O: 0.187 0.813 0.500
O: 0.308 0.308 0.257
O: 0.308 0.308 0.743
O: 0.692 0.692 0.257
O: 0.692 0.692 0.743
O: 0.813 0.187 0.000
O: 0.813 0.187 0.500

Main lines, by angle (5 to 70 degrees two-theta):
2θ = 17.5°, intensity 14; 2θ = 21.8°, intensity 18; 2θ = 24.8°, intensity 55; 2θ = 24.9°, intensity 54; 2θ = 31.4°, intensity 100; 2θ = 35.4°, intensity 32; 2θ = 47.9°, intensity 40; 2θ = 48.1°, intensity 39; 2θ = 57.6°, intensity 10; 2θ = 59.5°, intensity 20; 2θ = 61.1°, intensity 23; 2θ = 65.5°, intensity 12